# 1
NaYPd6O8: computed XRD peak list (a wavelength of 1.5418 Å), based on DFT lattice parameters and positions (PBE).

Top 10 peaks for 5 to 70 degrees two-theta, by intensity:
d_spacing, intensity
2.608, 100
2.381, 44
1.617, 23
1.559, 23
1.683, 19
1.458, 16
4.124, 9
2.916, 7
5.832, 5
1.844, 2

Atomic structure:
```
NaYPd6O8
1.0
5.8318 0.0000 0.0000
0.0000 5.8318 0.0000
0.0000 0.0000 5.8318
Na Y Pd O
1 1 6 8
Direct
0.0000 0.0000 0.0000
0.5000 0.5000 0.5000
0.0000 0.2482 0.5000
0.0000 0.7518 0.5000
0.2482 0.5000 0.0000
0.5000 0.0000 0.2482
0.5000 0.0000 0.7518
0.7518 0.5000 0.0000
0.2581 0.2581 0.2581
0.2581 0.2581 0.7419
0.2581 0.7419 0.2581
0.2581 0.7419 0.7419
0.7419 0.2581 0.2581
0.7419 0.2581 0.7419
0.7419 0.7419 0.2581
0.7419 0.7419 0.7419
```

# 2
Na2PrO3: computed XRD peak list (a wavelength of 1.5418 Å), based on DFT lattice parameters and positions (PBE).

Top 10 peaks for 5 to 70 degrees two-theta, by intensity:
d_spacing, intensity
2.501, 100
5.645, 67
3.050, 40
2.915, 35
1.748, 31
5.298, 22
1.788, 22
4.859, 18
2.905, 17
2.822, 16

Atomic structure:
```
Na2PrO3
1.0
3.0932 -5.3834 0.0000
3.0932 5.3834 0.0000
-2.0546 0.0000 11.2898
Na Pr O
8 4 12
Direct
0.0000 0.5000 0.5000
0.0823 0.9177 0.7500
0.1647 0.3169 0.9991
0.3169 0.1647 0.4991
0.5000 0.0000 0.0000
0.6831 0.8353 0.5009
0.8353 0.6831 0.0009
0.9177 0.0823 0.2500
0.2517 0.7483 0.2500
0.4150 0.5850 0.7500
0.5850 0.4150 0.2500
0.7483 0.2517 0.7500
0.0461 0.2394 0.6328
0.1220 0.5985 0.8666
0.2394 0.0461 0.1328
0.3123 0.4722 0.3643
0.4015 0.8780 0.6334
0.4722 0.3123 0.8643
0.5278 0.6877 0.1357
0.5985 0.1220 0.3666
0.6877 0.5278 0.6357
0.7606 0.9539 0.8672
0.8780 0.4015 0.1334
0.9539 0.7606 0.3672
```

# 3
NaPrO2: computed XRD peak list (a wavelength of 1.5418 Å), based on DFT lattice parameters and positions (PBE).

Top 10 peaks for 5 to 70 degrees two-theta, by intensity:
d_spacing, intensity
4.414, 100
2.906, 82
2.398, 52
1.826, 40
2.817, 37
2.107, 28
1.465, 22
2.957, 22
1.643, 20
1.453, 18

Atomic structure:
```
NaPrO2
1.0
-2.3984 2.3984 5.6345
2.3984 -2.3984 5.6345
2.3984 2.3984 -5.6345
Na Pr O
2 2 4
Direct
0.3750 0.6250 0.7500
0.6250 0.3750 0.2500
0.1250 0.8750 0.2500
0.8750 0.1250 0.7500
0.0921 0.3421 0.7500
0.3421 0.0921 0.2500
0.6579 0.9079 0.7500
0.9079 0.6579 0.2500
```